Record 1
Cs2SbI4Br2: simulated XRD peak list (copper Kα), based on a cell relaxed with GGA-PBE.
Lines closer than 0.1° are merged.

Largest 8 diffraction maxima, by angle, 2θ = 15–90°:
two_theta  I/Imax  (hkl)
26.3  100  2 0 2
29.9  29  0 0 4
30.7  57  2 2 0
43.4  42  2 2 4
43.9  21  4 0 0
51.9  30  4 2 2
54.0  22  4 0 4
80.4  14  6 2 4

Structural model:
```
data_Cs2SbI4Br2
_cell_length_a 8.246
_cell_length_b 8.246
_cell_length_c 11.949
_cell_angle_alpha 90.00
_cell_angle_beta 90.00
_cell_angle_gamma 90.00
_space_group_name_H-M_alt 'I 4/m m m'
_space_group_IT_number 139
_space_group_name_Hall '-I 4 2'
loop_
_atom_site_label
_atom_site_type_symbol
_atom_site_fract_x
_atom_site_fract_y
_atom_site_fract_z
Cs1 Cs 0.000 0.500 0.250
Sb1 Sb 0.000 0.000 0.000
I1 I 0.247 0.247 0.500
Br1 Br 0.000 0.000 0.230
```

Record 2
BePC: simulated XRD peak list (copper Kα), based on a cell relaxed with GGA-PBE.
Lines closer than 0.1° are merged.

Largest 8 diffraction maxima, by angle, 2θ = 15–90°:
two_theta  I/Imax  (hkl)
20.3  100  0 1 0
30.8  70  1 0 -1
30.9  55  1 -1 0
31.2  61  0 1 1
41.2  32  0 0 2
41.6  24  1 1 -1
42.1  36  1 -2 0
43.1  47  0 1 -2

Structural model:
```
data_BePC
_cell_length_a 3.208
_cell_length_b 4.699
_cell_length_c 4.715
_cell_angle_alpha 91.94
_cell_angle_beta 109.73
_cell_angle_gamma 109.19
_space_group_name_H-M_alt 'P 1'
_space_group_IT_number 1
loop_
_space_group_symop_operation_xyz
'x,y,z'
loop_
_atom_site_label
_atom_site_type_symbol
_atom_site_fract_x
_atom_site_fract_y
_atom_site_fract_z
Be1 Be 0.000 0.000 0.000
Be2 Be 0.285 0.687 0.837
P1 P 0.454 0.190 0.751
P2 P 0.959 0.488 0.359
C1 C 0.337 0.250 0.358
C2 C 0.811 0.588 0.983
```

Record 3
Nd3Sm4Ag4: simulated XRD peak list (copper Kα), based on a cell relaxed with GGA-PBE.
Lines closer than 0.1° are merged.

Largest 8 diffraction maxima, by angle, 2θ = 15–90°:
two_theta  I/Imax  (hkl)
29.6  100  1 2 1
29.8  27  0 1 5
30.3  39  1 1 4
32.5  17  1 0 5
33.0  18  0 0 6
33.6  30  1 2 3
34.9  48  2 0 0
40.4  23  1 2 5

Structural model:
```
data_Nd3Sm4Ag4
_cell_length_a 5.147
_cell_length_b 7.634
_cell_length_c 16.284
_cell_angle_alpha 90.00
_cell_angle_beta 90.00
_cell_angle_gamma 90.00
_space_group_name_H-M_alt 'I m m m'
_space_group_IT_number 71
_space_group_name_Hall '-I 2 2'
loop_
_atom_site_label
_atom_site_type_symbol
_atom_site_fract_x
_atom_site_fract_y
_atom_site_fract_z
Nd1 Nd 0.000 0.000 0.000
Nd2 Nd 0.000 0.500 0.103
Sm1 Sm 0.000 0.277 0.325
Ag1 Ag 0.000 0.000 0.195
Ag2 Ag 0.000 0.186 0.500
```

Record 4
Na5B6C4: simulated XRD peak list (copper Kα), based on a cell relaxed with GGA-PBE.
Lines closer than 0.1° are merged.

Largest 8 diffraction maxima, by angle, 2θ = 15–90°:
two_theta  I/Imax  (hkl)
36.2  18  1 3 1
42.2  100  2 1 2
42.7  25  0 0 4
57.2  10  1 3 5
65.2  11  3 4 1
77.8  12  2 1 6
80.7  7  2 6 4
81.1  8  3 4 5

Structural model:
```
data_Na5B6C4
_cell_length_a 4.952
_cell_length_b 7.582
_cell_length_c 8.952
_cell_angle_alpha 72.34
_cell_angle_beta 90.00
_cell_angle_gamma 70.95
_space_group_name_H-M_alt 'P -1'
_space_group_IT_number 2
loop_
_space_group_symop_operation_xyz
'x,y,z'
'-x,-y,-z'
loop_
_atom_site_label
_atom_site_type_symbol
_atom_site_fract_x
_atom_site_fract_y
_atom_site_fract_z
Na1 Na 0.000 0.000 0.000
Na2 Na 0.098 0.800 0.502
Na3 Na 0.199 0.600 0.000
Na4 Na 0.299 0.402 0.498
Na5 Na 0.401 0.200 0.002
Na6 Na 0.500 0.000 0.500
B1 B 0.016 0.300 0.750
B2 B 0.167 0.300 0.250
B3 B 0.208 0.911 0.750
B4 B 0.384 0.900 0.250
B5 B 0.419 0.489 0.750
B6 B 0.482 0.700 0.750
C1 C 0.084 0.498 0.749
C2 C 0.118 0.098 0.249
C3 C 0.276 0.105 0.751
C4 C 0.318 0.706 0.250
```

Record 5
Hg3Br2: simulated XRD peak list (copper Kα), based on a cell relaxed with GGA-PBE.
Lines closer than 0.1° are merged.

Largest 8 diffraction maxima, by angle, 2θ = 15–90°:
two_theta  I/Imax  (hkl)
19.0  49  1 1 1
22.3  19  4 0 0
23.5  24  1 3 1
24.4  20  4 2 0
24.8  100  3 1 1
31.3  19  2 6 0
39.1  19  1 7 1
42.4  43  3 7 1

Structural model:
```
data_Hg3Br2
_cell_length_a 15.920
_cell_length_b 18.349
_cell_length_c 5.059
_cell_angle_alpha 90.00
_cell_angle_beta 90.00
_cell_angle_gamma 90.00
_space_group_name_H-M_alt 'F d d 2'
_space_group_IT_number 43
_space_group_name_Hall 'F 2 -2d'
loop_
_atom_site_label
_atom_site_type_symbol
_atom_site_fract_x
_atom_site_fract_y
_atom_site_fract_z
Hg1 Hg 0.000 0.000 0.000
Hg2 Hg 0.031 0.141 0.909
Br1 Br 0.103 0.259 0.701
```